[1]
# NdBiP
Calculated powder diffraction line list, copper Kα. Input: the PBE geometry in Alexandria.
Neutral-atom scattering factors, no anomalous dispersion.

Largest 12 diffraction maxima, by angle, 2θ = 15–90°:
2θ (°), d [Å], intensity
24.47, 3.638, 100.0
30.06, 2.973, 18.0
32.31, 2.771, 37.8
37.28, 2.412, 52.7
45.10, 2.010, 20.3
45.33, 2.001, 10.8
46.69, 1.945, 11.5
50.14, 1.819, 11.2
53.09, 1.725, 13.6
59.90, 1.544, 17.7
64.12, 1.452, 10.9
78.56, 1.218, 11.0

Cell and atoms:
```
NdBiP
1.0
2.412 1.392 9.875
-2.412 1.392 9.875
0.000 -2.785 9.875
Nd Bi P
2 2 2
direct
0.118 0.118 0.118
0.882 0.882 0.882
0.360 0.360 0.360
0.640 0.640 0.640
0.213 0.213 0.213
0.787 0.787 0.787
```



[2]
# NdBi2P2Pt7
Calculated powder diffraction line list, copper Kα. Input: the PBE geometry in Alexandria.
Neutral-atom scattering factors, no anomalous dispersion.

Largest 12 diffraction maxima, by angle, 2θ = 15–90°:
2θ (°), d [Å], intensity
23.85, 3.730, 25.3
29.94, 2.984, 32.7
31.80, 2.814, 53.9
33.50, 2.675, 55.1
36.18, 2.483, 100.0
43.80, 2.067, 39.8
44.73, 2.026, 71.2
48.47, 1.878, 29.5
54.77, 1.676, 24.6
63.33, 1.468, 23.9
65.12, 1.433, 23.6
76.82, 1.241, 23.5

Cell and atoms:
```
NdBi2P2Pt7
1.0
-2.026 2.026 14.922
2.026 -2.026 14.922
2.026 2.026 -14.922
Nd Bi P Pt
1 2 2 7
direct
0.000 0.000 0.000
0.210 0.210 0.000
0.790 0.790 0.000
0.382 0.382 0.000
0.618 0.618 0.000
0.076 0.576 0.500
0.306 0.306 0.000
0.424 0.924 0.500
0.500 0.500 0.000
0.576 0.076 0.500
0.694 0.694 0.000
0.924 0.424 0.500
```



[3]
# Pr2NdPaBi4
Calculated powder diffraction line list, copper Kα. Input: the PBE geometry in Alexandria.
Neutral-atom scattering factors, no anomalous dispersion.

Largest 12 diffraction maxima, by angle, 2θ = 15–90°:
2θ (°), d [Å], intensity
27.48, 3.246, 100.0
39.10, 2.304, 13.2
39.28, 2.294, 65.5
48.48, 1.878, 14.4
48.69, 1.870, 14.3
56.68, 1.624, 9.1
63.94, 1.456, 6.3
64.16, 1.452, 18.8
64.26, 1.450, 12.6
70.96, 1.328, 9.3
71.29, 1.323, 14.0
84.44, 1.147, 6.0

Cell and atoms:
```
Pr2NdPaBi4
1.0
7.952 0.000 0.000
0.000 4.579 0.000
-2.618 0.000 7.514
Pr Nd Pa Bi
2 1 1 4
direct
0.000 0.000 0.000
0.500 0.500 0.000
0.000 0.500 0.500
0.500 0.000 0.500
0.254 0.000 0.744
0.257 0.500 0.258
0.743 0.500 0.742
0.746 0.000 0.256
```



[4]
# NdPaBiSb
Calculated powder diffraction line list, copper Kα. Input: the PBE geometry in Alexandria.
Neutral-atom scattering factors, no anomalous dispersion.

Largest 12 diffraction maxima, by angle, 2θ = 15–90°:
2θ (°), d [Å], intensity
19.95, 4.451, 6.0
32.86, 2.725, 100.0
38.74, 2.324, 3.8
47.16, 1.927, 18.5
51.69, 1.768, 1.8
58.67, 1.574, 38.9
62.62, 1.484, 1.4
68.91, 1.363, 12.1
72.55, 1.303, 1.4
78.47, 1.219, 17.0
81.96, 1.176, 0.5
87.72, 1.113, 4.4

Cell and atoms:
```
NdPaBiSb
1.0
0.000 3.854 3.854
3.854 0.000 3.854
3.854 3.854 0.000
Nd Pa Bi Sb
1 1 1 1
direct
0.000 0.000 0.000
0.500 0.500 0.500
0.750 0.750 0.750
0.250 0.250 0.250
```



[5]
# Nd2Bi3Pb
Calculated powder diffraction line list, copper Kα. Input: the PBE geometry in Alexandria.
Neutral-atom scattering factors, no anomalous dispersion.

Largest 12 diffraction maxima, by angle, 2θ = 15–90°:
2θ (°), d [Å], intensity
27.13, 3.286, 100.0
38.12, 2.361, 13.5
38.73, 2.325, 52.8
39.45, 2.284, 12.7
47.38, 1.919, 14.8
48.51, 1.877, 14.1
56.02, 1.642, 9.0
62.40, 1.488, 6.3
63.18, 1.472, 12.8
63.30, 1.469, 12.5
69.29, 1.356, 9.3
71.07, 1.326, 9.4

Cell and atoms:
```
Nd2Bi3Pb
1.0
7.442 -3.293 0.000
7.442 3.293 0.000
-2.803 0.000 8.696
Nd Bi Pb
4 6 2
direct
0.162 0.164 0.082
0.164 0.162 0.582
0.836 0.838 0.418
0.838 0.836 0.918
0.003 0.997 0.750
0.325 0.327 0.413
0.327 0.325 0.913
0.673 0.675 0.087
0.675 0.673 0.587
0.997 0.003 0.250
0.495 0.505 0.250
0.505 0.495 0.750
```



[6]
# Nd10Bi3Pb3
Calculated powder diffraction line list, copper Kα. Input: the PBE geometry in Alexandria.
Neutral-atom scattering factors, no anomalous dispersion.

Largest 12 diffraction maxima, by angle, 2θ = 15–90°:
2θ (°), d [Å], intensity
22.97, 3.872, 10.1
26.52, 3.361, 20.5
28.77, 3.103, 24.7
31.78, 2.816, 82.4
32.70, 2.738, 100.0
40.38, 2.234, 10.3
41.92, 2.155, 16.8
46.94, 1.936, 13.7
50.24, 1.816, 23.2
56.03, 1.641, 13.0
63.06, 1.474, 19.7
65.16, 1.432, 11.0

Cell and atoms:
```
Nd10Bi3Pb3
1.0
9.473 0.000 0.000
-4.736 8.204 0.000
0.000 0.000 6.721
Nd Bi Pb
10 3 3
direct
0.000 0.242 0.000
0.000 0.757 0.500
0.242 0.000 0.000
0.243 0.243 0.500
0.333 0.667 0.251
0.333 0.667 0.749
0.667 0.333 0.251
0.667 0.333 0.749
0.757 0.000 0.500
0.758 0.758 0.000
0.000 0.610 0.000
0.390 0.390 0.000
0.610 0.000 0.000
0.000 0.391 0.500
0.391 0.000 0.500
0.609 0.609 0.500
```



[7]
# Nd5BiPb2
Calculated powder diffraction line list, copper Kα. Input: the PBE geometry in Alexandria.
Neutral-atom scattering factors, no anomalous dispersion.

Largest 12 diffraction maxima, by angle, 2θ = 15–90°:
2θ (°), d [Å], intensity
29.03, 3.075, 11.0
29.64, 3.014, 10.2
30.01, 2.978, 100.0
32.69, 2.740, 14.8
33.23, 2.696, 56.7
37.74, 2.384, 8.5
47.71, 1.906, 9.1
47.96, 1.897, 11.5
51.13, 1.787, 12.1
60.22, 1.537, 11.7
61.74, 1.502, 18.8
62.32, 1.490, 11.2

Cell and atoms:
```
Nd5BiPb2
1.0
-4.263 4.263 7.151
4.263 -4.263 7.151
4.263 4.263 -7.151
Nd Bi Pb
10 2 4
direct
0.000 0.000 0.000
0.007 0.507 0.815
0.192 0.007 0.500
0.308 0.808 0.815
0.493 0.308 0.500
0.500 0.500 0.000
0.507 0.692 0.500
0.692 0.192 0.185
0.808 0.993 0.500
0.993 0.493 0.185
0.250 0.250 0.000
0.750 0.750 0.000
0.143 0.357 0.500
0.357 0.857 0.215
0.643 0.143 0.785
0.857 0.643 0.500
```



[8]
# Nd2Bi2Pd15
Calculated powder diffraction line list, copper Kα. Input: the PBE geometry in Alexandria.
Neutral-atom scattering factors, no anomalous dispersion.

Largest 12 diffraction maxima, by angle, 2θ = 15–90°:
2θ (°), d [Å], intensity
27.89, 3.199, 20.0
33.11, 2.706, 39.0
33.93, 2.642, 16.1
38.47, 2.340, 100.0
38.80, 2.321, 18.9
39.15, 2.301, 24.3
43.25, 2.092, 51.3
43.52, 2.080, 18.4
62.76, 1.481, 12.4
69.48, 1.353, 22.7
70.04, 1.343, 22.8
89.04, 1.099, 12.0

Cell and atoms:
```
Nd2Bi2Pd15
1.0
4.687 2.706 4.642
-4.687 2.706 4.642
0.000 -5.412 4.642
Nd Bi Pd
2 2 15
direct
0.143 0.143 0.143
0.857 0.857 0.857
0.393 0.393 0.393
0.607 0.607 0.607
0.000 0.500 0.500
0.160 0.160 0.672
0.160 0.672 0.160
0.169 0.500 0.831
0.169 0.831 0.500
0.328 0.840 0.840
0.500 0.000 0.500
0.500 0.169 0.831
0.500 0.500 0.000
0.500 0.831 0.169
0.672 0.160 0.160
0.831 0.169 0.500
0.831 0.500 0.169
0.840 0.328 0.840
0.840 0.840 0.328
```



[9]
# NdBi6Pd12
Calculated powder diffraction line list, copper Kα. Input: the PBE geometry in Alexandria.
Neutral-atom scattering factors, no anomalous dispersion.

Largest 12 diffraction maxima, by angle, 2θ = 15–90°:
2θ (°), d [Å], intensity
24.11, 3.692, 61.5
24.89, 3.578, 52.8
28.94, 3.085, 51.3
31.92, 2.804, 28.2
37.71, 2.385, 100.0
38.30, 2.350, 83.5
40.83, 2.210, 53.8
41.66, 2.168, 35.5
43.88, 2.063, 28.4
46.91, 1.937, 57.7
61.90, 1.499, 27.2
73.94, 1.282, 36.2

Cell and atoms:
```
NdBi6Pd12
1.0
6.094 3.519 3.245
-6.094 3.519 3.245
0.000 -7.037 3.245
Nd Bi Pd
1 6 12
direct
0.000 0.000 0.000
0.262 0.262 0.669
0.262 0.669 0.262
0.331 0.738 0.738
0.669 0.262 0.262
0.738 0.331 0.738
0.738 0.738 0.331
0.098 0.333 0.333
0.119 0.500 0.881
0.119 0.881 0.500
0.333 0.098 0.333
0.333 0.333 0.098
0.500 0.119 0.881
0.500 0.881 0.119
0.667 0.667 0.902
0.667 0.902 0.667
0.881 0.119 0.500
0.881 0.500 0.119
0.902 0.667 0.667
```



[10]
# NdBiPd3
Calculated powder diffraction line list, copper Kα. Input: the PBE geometry in Alexandria.
Neutral-atom scattering factors, no anomalous dispersion.

Largest 12 diffraction maxima, by angle, 2θ = 15–90°:
2θ (°), d [Å], intensity
29.02, 3.077, 100.0
34.95, 2.567, 29.3
35.37, 2.538, 21.6
37.30, 2.411, 60.1
37.44, 2.402, 45.5
39.51, 2.281, 93.7
43.86, 2.064, 28.0
55.36, 1.659, 17.0
56.69, 1.624, 18.5
62.27, 1.491, 22.8
67.45, 1.388, 16.8
69.94, 1.345, 16.4

Cell and atoms:
```
NdBiPd3
1.0
-2.787 3.996 4.804
2.787 -3.996 4.804
2.787 3.996 -4.804
Nd Bi Pd
2 2 6
direct
0.252 0.002 0.250
0.748 0.998 0.750
0.000 0.500 0.500
0.500 0.500 0.000
0.052 0.302 0.750
0.318 0.000 0.818
0.318 0.500 0.318
0.682 0.000 0.182
0.682 0.500 0.682
0.948 0.698 0.250
```



[11]
# Nd3BiPd
Calculated powder diffraction line list, copper Kα. Input: the PBE geometry in Alexandria.
Neutral-atom scattering factors, no anomalous dispersion.

Largest 12 diffraction maxima, by angle, 2θ = 15–90°:
2θ (°), d [Å], intensity
21.10, 4.210, 35.3
26.94, 3.309, 22.0
27.09, 3.292, 18.7
28.71, 3.110, 100.0
31.63, 2.829, 21.4
31.89, 2.807, 23.0
34.14, 2.626, 35.5
35.27, 2.545, 17.4
36.33, 2.473, 46.0
40.22, 2.242, 25.0
41.85, 2.158, 28.0
53.01, 1.728, 31.6

Cell and atoms:
```
Nd3BiPd
1.0
4.317 0.000 0.000
0.000 5.090 7.491
0.000 -5.090 7.491
Nd Bi Pd
6 2 2
direct
0.000 0.000 0.000
0.000 0.328 0.328
0.500 0.350 0.727
0.500 0.600 0.977
0.500 0.727 0.350
0.500 0.977 0.600
0.000 0.664 0.664
0.500 0.164 0.164
0.000 0.163 0.664
0.000 0.664 0.163
```



[12]
# Pm3NdBi4
Calculated powder diffraction line list, copper Kα. Input: the PBE geometry in Alexandria.
Neutral-atom scattering factors, no anomalous dispersion.

Largest 12 diffraction maxima, by angle, 2θ = 15–90°:
2θ (°), d [Å], intensity
23.76, 3.745, 5.1
27.50, 3.243, 100.0
39.29, 2.293, 78.7
46.43, 1.956, 3.1
48.62, 1.873, 28.7
56.77, 1.622, 13.7
62.40, 1.488, 1.4
64.21, 1.450, 37.9
71.22, 1.324, 28.1
76.28, 1.248, 1.1
84.49, 1.147, 9.2
89.35, 1.096, 1.3

Cell and atoms:
```
Pm3NdBi4
1.0
4.586 -6.485 0.000
4.586 6.485 0.000
0.000 0.000 4.589
Pm Nd Bi
3 1 4
direct
0.000 0.000 0.000
0.000 0.500 0.500
0.500 0.000 0.500
0.500 0.500 0.000
0.249 0.249 0.500
0.249 0.751 0.000
0.751 0.249 0.000
0.751 0.751 0.500
```



[13]
# Pm3NdBi4
Calculated powder diffraction line list, copper Kα. Input: the PBE geometry in Alexandria.
Neutral-atom scattering factors, no anomalous dispersion.

Largest 12 diffraction maxima, by angle, 2θ = 15–90°:
2θ (°), d [Å], intensity
23.78, 3.742, 5.2
27.52, 3.241, 100.0
39.31, 2.292, 78.7
46.46, 1.954, 3.1
48.66, 1.871, 28.7
56.81, 1.621, 13.7
62.45, 1.487, 1.4
64.26, 1.449, 37.9
71.27, 1.323, 28.1
76.34, 1.247, 1.1
84.56, 1.146, 9.2
89.43, 1.096, 1.3

Cell and atoms:
```
Pm3NdBi4
1.0
6.482 0.000 0.000
0.000 6.482 0.000
0.000 0.000 6.482
Pm Nd Bi
3 1 4
direct
0.000 0.000 0.500
0.000 0.500 0.000
0.500 0.000 0.000
0.500 0.500 0.500
0.000 0.000 0.000
0.000 0.500 0.500
0.500 0.000 0.500
0.500 0.500 0.000
```